No. 1
Starting from a structure optimized by DFT (PBE), the powder diffractogram of CsAgCl4 was computed for copper Kα.

Most intense lines, 15 to 90 degrees two-theta, sorted by position:
| Position (°2θ) | I/Imax |
| --- | --- |
| 18.7 | 100.0 |
| 19.8 | 38.1 |
| 25.1 | 24.3 |
| 27.7 | 30.2 |
| 28.4 | 22.7 |
| 29.4 | 61.5 |
| 34.9 | 31.4 |
| 40.5 | 22.3 |

Crystal structure
Unit cell a=7.484 b=6.280 c=10.428 alpha=90.00 beta=120.64 gamma=90.00
Atoms (fractional coordinates):
1 Cs 0.000 0.000 0.000
2 Cs 0.000 0.500 0.500
3 Ag 0.500 0.000 0.500
4 Ag 0.500 0.500 0.000
5 Cl 0.140 0.009 0.391
6 Cl 0.140 0.491 0.891
7 Cl 0.465 0.731 0.334
8 Cl 0.465 0.769 0.834
9 Cl 0.535 0.231 0.166
10 Cl 0.535 0.269 0.666
11 Cl 0.860 0.509 0.109
12 Cl 0.860 0.991 0.609


No. 2
Starting from a structure optimized by DFT (PBE), the powder diffractogram of SrAlPtO4 was computed for copper Kα.

Most intense lines, 15 to 90 degrees two-theta, sorted by position:
| Position (°2θ) | I/Imax |
| --- | --- |
| 21.3 | 100.0 |
| 28.3 | 52.7 |
| 30.9 | 56.6 |
| 32.2 | 21.2 |
| 32.4 | 63.8 |
| 42.6 | 23.5 |
| 43.4 | 36.5 |
| 52.8 | 23.0 |

Crystal structure
Unit cell a=5.587 b=5.587 c=6.967 alpha=90.00 beta=90.00 gamma=111.36
Atoms (fractional coordinates):
1 Sr 0.000 0.000 0.000
2 Sr 0.000 0.000 0.500
3 Al 0.381 0.619 0.750
4 Al 0.619 0.381 0.250
5 Pt 0.309 0.691 0.250
6 Pt 0.691 0.309 0.750
7 O 0.277 0.723 0.534
8 O 0.277 0.723 0.966
9 O 0.278 0.287 0.250
10 O 0.287 0.278 0.750
11 O 0.713 0.722 0.250
12 O 0.722 0.713 0.750
13 O 0.723 0.277 0.034
14 O 0.723 0.277 0.466


No. 3
Starting from a structure optimized by DFT (PBE), the powder diffractogram of MnPdSe4 was computed for copper Kα.

Most intense lines, 15 to 90 degrees two-theta, sorted by position:
| Position (°2θ) | I/Imax |
| --- | --- |
| 28.9 | 24.7 |
| 29.7 | 21.7 |
| 33.5 | 51.7 |
| 35.3 | 100.0 |
| 48.8 | 33.2 |
| 50.1 | 51.5 |
| 51.4 | 16.2 |
| 61.6 | 24.9 |

Crystal structure
Unit cell a=6.320 b=3.644 c=6.522 alpha=90.00 beta=112.75 gamma=90.00
Atoms (fractional coordinates):
1 Mn 0.000 0.000 0.000
2 Pd 0.500 0.500 0.000
3 Se 0.233 0.000 0.772
4 Se 0.251 0.500 0.226
5 Se 0.749 0.500 0.774
6 Se 0.767 0.000 0.228